Computed powder diffraction line list
Compound: TmThMg3
Radiation: CuKα
Structure: DFT lattice parameters and positions (PBE)
Intensities are scaled so that the largest is 100.

Main lines, low angle first (15 to 90 degrees two-theta):
2θ/deg  I (rel.)
24.35  25
29.54  87
29.86  56
31.39  100
32.87  43
38.64  19
52.60  42
53.58  23
54.55  21
62.65  23

Cell and atoms:
Lattice parameters (Å, degrees): 9.1965 9.1965 9.1965 38.40 38.40 38.40
Positions (direct):
Tm: 0.0642 0.0642 0.0642
Tm: 0.9358 0.9358 0.9358
Th: 0.3344 0.3344 0.3344
Th: 0.6656 0.6656 0.6656
Mg: 0.1140 0.6217 0.6217
Mg: 0.3783 0.3783 0.8860
Mg: 0.3783 0.8860 0.3783
Mg: 0.6217 0.1140 0.6217
Mg: 0.6217 0.6217 0.1140
Mg: 0.8860 0.3783 0.3783

---

Computed powder diffraction line list
Compound: Sb2Te2S
Radiation: CuKα
Structure: DFT lattice parameters and positions (PBE)
Intensities are scaled so that the largest is 100.

Main lines, low angle first (15 to 90 degrees two-theta):
2θ/deg  I (rel.)
17.78  69
23.80  26
28.45  25
29.17  98
29.45  100
31.51  30
34.36  28
37.61  26
41.93  76
48.29  25

Cell and atoms:
Lattice parameters (Å, degrees): 9.7761 6.1238 11.6033 90.00 90.00 90.00
Positions (direct):
Sb: 0.0901 0.2500 0.2410
Sb: 0.1680 0.2500 0.5782
Sb: 0.3320 0.7500 0.0782
Sb: 0.4099 0.7500 0.7410
Sb: 0.5901 0.2500 0.2590
Sb: 0.6680 0.2500 0.9218
Sb: 0.8320 0.7500 0.4218
Sb: 0.9099 0.7500 0.7590
Te: 0.0669 0.7500 0.1868
Te: 0.1240 0.7500 0.5809
Te: 0.3760 0.2500 0.0809
Te: 0.4331 0.2500 0.6868
Te: 0.5669 0.7500 0.3132
Te: 0.6240 0.7500 0.9191
Te: 0.8760 0.2500 0.4191
Te: 0.9331 0.2500 0.8132
S: 0.2219 0.7500 0.8853
S: 0.2781 0.2500 0.3853
S: 0.7219 0.7500 0.6147
S: 0.7781 0.2500 0.1147

---

Computed powder diffraction line list
Compound: SeO2F2
Radiation: CuKα
Structure: DFT lattice parameters and positions (PBE)
Intensities are scaled so that the largest is 100.

Main lines, low angle first (15 to 90 degrees two-theta):
2θ/deg  I (rel.)
17.21  19
21.81  100
23.16  15
27.90  10
32.02  18
34.81  11
42.22  18
50.72  11
53.32  10
66.95  10

Cell and atoms:
Lattice parameters (Å, degrees): 5.7600 5.7600 11.5359 90.00 90.00 90.00
Positions (direct):
Se: 0.0910 0.0910 0.0000
Se: 0.4090 0.5910 0.2500
Se: 0.5910 0.4090 0.7500
Se: 0.9090 0.9090 0.5000
O: 0.0292 0.3297 0.9347
O: 0.1703 0.5292 0.1847
O: 0.3297 0.0292 0.0653
O: 0.4708 0.8297 0.3153
O: 0.5292 0.1703 0.8153
O: 0.6703 0.9708 0.5653
O: 0.8297 0.4708 0.6847
O: 0.9708 0.6703 0.4347
F: 0.0271 0.8632 0.9053
F: 0.1368 0.9729 0.5947
F: 0.3632 0.4729 0.6553
F: 0.4729 0.3632 0.3447
F: 0.5271 0.6368 0.8447
F: 0.6368 0.5271 0.1553
F: 0.8632 0.0271 0.0947
F: 0.9729 0.1368 0.4053

---

Computed powder diffraction line list
Compound: HgBRuN
Radiation: CuKα
Structure: DFT lattice parameters and positions (PBE)
Intensities are scaled so that the largest is 100.

Main lines, low angle first (15 to 90 degrees two-theta):
2θ/deg  I (rel.)
28.03  41
32.72  34
33.09  100
37.83  47
38.82  44
41.42  69
42.61  35
44.59  57
44.89  42
58.31  27

Cell and atoms:
Lattice parameters (Å, degrees): 2.8205 2.9915 6.4848 90.00 101.00 90.00
Positions (direct):
Hg: 0.0000 0.0000 0.0000
B: 0.2795 0.0000 0.4975
Ru: 0.6278 0.5000 0.3346
N: 0.8186 0.0000 0.5758